Calculated PXRD pattern of PrCd2GePd2 for Cu Kα, from a crystal structure in Alexandria, relaxed with GGA-PBE.
No peak broadening, texture or thermal motion is included.

Main lines, by angle (10° ≤ 2θ ≤ 90°):
Position (°2θ), I_rel
16.43, 32
24.03, 24
29.25, 42
30.14, 22
33.22, 44
34.24, 100
38.20, 15
46.26, 14
48.45, 60
49.20, 35
60.66, 30
82.33, 15

Atomic structure:
Cell lengths 6.543, 6.543, 6.543 Å; angles 132.81, 132.81, 68.95 degrees
Positions (direct):
1 Pr 0.000 0.000 0.000
2 Cd 0.250 0.750 0.500
3 Cd 0.750 0.250 0.500
4 Ge 0.500 0.500 0.000
5 Pd 0.281 0.281 0.000
6 Pd 0.719 0.719 0.000